This entry pairs a crystal structure of La3In7Ag4 with its simulated XRD peak list. Radiation: Cu Kα. Structure: a cell relaxed with PBE.
Neutral-atom scattering factors, no anomalous dispersion.

Crystal structure
a b c (Å): 17.518 4.756 10.555
angles (deg): 90.00 126.76 90.00
Space group C2/m (No. 12)
Unique sites:
La 0.000 0.000 0.000 [2 per cell]
La 0.190 0.500 0.693 [4 per cell]
In 0.000 0.000 0.500 [2 per cell]
In 0.001 0.500 0.292 [4 per cell]
In 0.155 0.000 0.425 [4 per cell]
In 0.171 0.500 0.035 [4 per cell]
Ag 0.134 0.000 0.858 [4 per cell]
Ag 0.156 0.500 0.279 [4 per cell]

The 10 most intense peaks (10 to 80 degrees two-theta), sorted by position:
2θ/deg  I/Imax  h k l
31.7  100  1 1 2
31.8  72  5 1 -2
31.9  15  6 0 -3
32.8  15  3 1 1
34.2  17  5 1 -3
37.8  52  0 2 0
38.5  34  6 0 0
39.6  17  3 1 -4
55.1  24  6 2 0
64.5  20  1 3 2